For Rb2GaSnH6, a crystal structure in Alexandria, relaxed with GGA-PBE gives the calculated X-ray diffraction stick pattern in this record (CuKα).
Lines closer than 0.1° are merged.

Structure:
Lattice parameters (Å, degrees): 8.456 8.462 5.974 90.00 134.72 90.00
Space group C2/m (No. 12)
Unique sites:
Rb: 0.000 0.250 0.000 x4
Ga: 0.000 0.000 0.500 x2
Sn: 0.000 0.500 0.500 x2
H: 0.000 0.220 0.500 x4
H: 0.220 0.000 0.500 x4
H: 0.222 0.000 0.944 x4

Main lines, in order of rising 2θ (10 to 80 degrees two-theta):
| d/Å | I/Imax | h k l |
| --- | --- | --- |
| 2.999 | 100 | 2 0 0 |
| 2.990 | 99 | 2 2 -1 |
| 2.123 | 13 | 0 0 2 |
| 2.115 | 26 | 0 4 0 |
| 1.734 | 13 | 2 2 1 |
| 1.730 | 26 | 2 4 0 |
| 1.727 | 26 | 2 4 -2 |
| 1.724 | 13 | 4 2 -3 |
| 1.498 | 8 | 0 4 2 |
| 1.495 | 13 | 4 4 -2 |
| 1.339 | 11 | 0 6 1 |
| 1.338 | 11 | 6 2 -3 |